Diffraction record for YAgSe2. The powder XRD pattern is simulated, not measured: it uses the PBE geometry in the Materials Project and copper Kα.
Neutral-atom scattering factors, no anomalous dispersion.

Cell lengths 7.358, 7.358, 7.358 Å; angles 134.30, 134.30, 66.62 degrees
Sites, in units of the cell vectors:
1 Y 0.375 0.625 0.750
2 Y 0.625 0.375 0.250
3 Ag 0.125 0.875 0.250
4 Ag 0.875 0.125 0.750
5 Se 0.141 0.391 0.750
6 Se 0.391 0.141 0.250
7 Se 0.609 0.859 0.750
8 Se 0.859 0.609 0.250

Most intense lines, 2θ from 10° to 90°, low angle first:
- 2θ = 29.0°, I = 57
- 2θ = 31.3°, I = 100
- 2θ = 43.2°, I = 75
- 2θ = 44.9°, I = 36
- 2θ = 54.3°, I = 37
- 2θ = 65.3°, I = 11
- 2θ = 69.4°, I = 15
- 2θ = 73.0°, I = 15
- 2θ = 74.2°, I = 16
- 2θ = 81.6°, I = 23